Entry 1:
For Cu2AgPdAu, a DFT-relaxed cell (PBE, Alexandria) gives the computed X-ray diffraction stick pattern in this record (Cu Kα (λ = 1.5418 Å)).
Lines closer than 0.1° are merged.

Peak list (10 most intense, 2θ = 15–90°, by angle)
2theta, d_spacing, intensity
21.0, 4.221, 16.0
26.3, 3.394, 20.9
39.7, 2.269, 98.5
39.9, 2.262, 100.0
44.6, 2.032, 36.1
45.2, 2.007, 34.8
49.0, 1.860, 26.3
65.4, 1.428, 22.0
68.8, 1.364, 18.4
79.7, 1.203, 25.0

Cell lengths 4.906, 4.906, 8.461 Å; angles 93.55, 93.55, 48.30 degrees
Fractional coordinates of all 10 atoms:
Cu1 0.143 0.143 0.048
Cu2 0.350 0.350 0.448
Cu3 0.650 0.650 0.552
Cu4 0.857 0.857 0.952
Ag1 0.052 0.052 0.351
Ag2 0.948 0.948 0.649
Pd1 0.437 0.437 0.142
Pd2 0.563 0.563 0.858
Au1 0.255 0.255 0.753
Au2 0.745 0.745 0.247


Entry 2:
For AcTiN2, a DFT-relaxed cell (PBE, Alexandria) gives the computed X-ray diffraction stick pattern in this record (Cu Kα (λ = 1.5418 Å)).
Lines closer than 0.1° are merged.

Peak list (10 most intense, 2θ = 15–90°, by angle)
2theta, d_spacing, intensity
21.8, 4.079, 97.3
30.7, 2.912, 100.0
31.3, 2.857, 99.3
38.0, 2.370, 38.3
44.4, 2.039, 46.2
49.6, 1.838, 28.3
50.4, 1.810, 24.9
54.6, 1.681, 18.9
55.0, 1.670, 39.1
56.1, 1.639, 19.7

Cell lengths 5.824, 5.824, 6.933 Å; angles 90.00, 90.00, 120.00 degrees
Fractional coordinates of all 12 atoms:
Ac1 0.000 0.659 0.167
Ac2 0.341 0.341 0.500
Ac3 0.659 0.000 0.833
Ti1 0.000 0.607 0.667
Ti2 0.393 0.393 0.000
Ti3 0.607 0.000 0.333
N1 0.137 0.471 0.858
N2 0.333 0.863 0.525
N3 0.471 0.137 0.142
N4 0.529 0.667 0.192
N5 0.667 0.529 0.808
N6 0.863 0.333 0.475